(1)
Theoretical X-ray powder pattern of CuBi3PbS6 for Cu Kα X-rays, from a DFT-relaxed cell (PBE, the Materials Project).
Intensities are scaled so that the largest is 100.

Structural model:
Unit cell a=4.0629 b=11.6608 c=11.2137 alpha=90.00 beta=90.00 gamma=90.00
Sites, in units of the cell vectors:
Cu  0.0000  0.0120  0.0000
Cu  0.5000  0.9880  0.5000
Bi  0.0000  0.2397  0.5317
Bi  0.0000  0.4120  0.1894
Bi  0.0000  0.7258  0.3904
Bi  0.5000  0.2742  0.8904
Bi  0.5000  0.5880  0.6894
Bi  0.5000  0.7603  0.0317
Pb  0.0000  0.9126  0.7285
Pb  0.5000  0.0874  0.2285
S  0.0000  0.0295  0.4176
S  0.0000  0.2077  0.0696
S  0.0000  0.3716  0.7613
S  0.0000  0.5371  0.5268
S  0.0000  0.7003  0.8407
S  0.0000  0.8683  0.1507
S  0.5000  0.1317  0.6507
S  0.5000  0.2997  0.3407
S  0.5000  0.4629  0.0268
S  0.5000  0.6284  0.2613
S  0.5000  0.7923  0.5696
S  0.5000  0.9705  0.9176

Top 12 peaks for 5° ≤ 2θ ≤ 70°, most intense first:
2θ 24.23, I 100; 2θ 31.22, I 99; 2θ 25.02, I 86; 2θ 28.18, I 81; 2θ 27.92, I 75; 2θ 34.68, I 58; 2θ 24.52, I 56; 2θ 51.39, I 52; 2θ 21.99, I 50; 2θ 33.47, I 48; 2θ 46.76, I 47; 2θ 45.73, I 46

(2)
Theoretical X-ray powder pattern of Cu2Bi8Pb3Se3S13 for Cu Kα X-rays, from a DFT-relaxed cell (PBE, the Materials Project).
Intensities are scaled so that the largest is 100.

Structural model:
Unit cell a=13.6398 b=13.6398 c=16.6578 alpha=126.22 beta=126.22 gamma=17.91
Sites, in units of the cell vectors:
Cu  0.0000  0.0000  0.0000
Cu  0.0932  0.0932  0.9708
Bi  0.2257  0.2257  0.4653
Bi  0.3599  0.3599  0.9688
Bi  0.3968  0.3968  0.2539
Bi  0.4049  0.4049  0.7553
Bi  0.6877  0.6877  0.2148
Bi  0.6963  0.6963  0.7138
Bi  0.7338  0.7338  0.0010
Bi  0.8680  0.8680  0.5042
Pb  0.0175  0.0175  0.2073
Pb  0.0464  0.0464  0.4778
Pb  0.0759  0.0759  0.7655
Se  0.2572  0.2572  0.1331
Se  0.5650  0.5650  0.6238
Se  0.8362  0.8362  0.8363
S  0.1102  0.1102  0.1232
S  0.1859  0.1859  0.6021
S  0.2048  0.2048  0.8523
S  0.2817  0.2817  0.3751
S  0.4391  0.4391  0.6359
S  0.4773  0.4773  0.0429
S  0.5214  0.5214  0.3351
S  0.6169  0.6169  0.9299
S  0.6534  0.6534  0.3340
S  0.8117  0.8117  0.5936
S  0.8876  0.8876  0.1157
S  0.9093  0.9093  0.3676
S  0.9826  0.9826  0.8474

Top 12 peaks for 5° ≤ 2θ ≤ 70°, most intense first:
2θ 30.28, I 100; 2θ 42.59, I 80; 2θ 23.10, I 77; 2θ 27.19, I 66; 2θ 26.72, I 53; 2θ 24.74, I 51; 2θ 24.34, I 49; 2θ 29.56, I 41; 2θ 43.10, I 36; 2θ 49.00, I 34; 2θ 26.47, I 31; 2θ 23.93, I 30

(3)
Theoretical X-ray powder pattern of Pr5CuBi3 for Cu Kα X-rays, from a DFT-relaxed cell (PBE, the Materials Project).
Intensities are scaled so that the largest is 100.

Structural model:
Unit cell a=9.6950 b=9.6950 c=6.6440 alpha=90.00 beta=90.00 gamma=120.00
Sites, in units of the cell vectors:
Pr  0.0000  0.2575  0.2500
Pr  0.0000  0.7425  0.7500
Pr  0.2575  0.0000  0.2500
Pr  0.2575  0.2575  0.7500
Pr  0.3333  0.6667  0.0000
Pr  0.3333  0.6667  0.5000
Pr  0.6667  0.3333  0.0000
Pr  0.6667  0.3333  0.5000
Pr  0.7425  0.0000  0.7500
Pr  0.7425  0.7425  0.2500
Cu  0.0000  0.0000  0.0000
Cu  0.0000  0.0000  0.5000
Bi  0.0000  0.3847  0.7500
Bi  0.0000  0.6153  0.2500
Bi  0.3847  0.0000  0.7500
Bi  0.3847  0.3847  0.2500
Bi  0.6153  0.0000  0.2500
Bi  0.6153  0.6153  0.7500

Top 12 peaks for 5° ≤ 2θ ≤ 70°, most intense first:
2θ 32.68, I 100; 2θ 31.24, I 92; 2θ 31.98, I 80; 2θ 41.07, I 25; 2θ 46.37, I 25; 2θ 50.24, I 25; 2θ 57.43, I 21; 2θ 65.33, I 21; 2θ 26.84, I 21; 2θ 59.94, I 15; 2θ 61.92, I 14; 2θ 63.22, I 13

(4)
Theoretical X-ray powder pattern of CuBi5S8 for Cu Kα X-rays, from a DFT-relaxed cell (PBE, the Materials Project).
Intensities are scaled so that the largest is 100.

Structural model:
Unit cell a=6.9755 b=6.9755 c=14.2228 alpha=113.69 beta=113.69 gamma=33.87
Sites, in units of the cell vectors:
Cu  0.0000  0.0000  0.0000
Bi  0.0355  0.6523  0.6532
Bi  0.3477  0.9645  0.3468
Bi  0.3979  0.0310  0.8644
Bi  0.6934  0.3066  0.5000
Bi  0.9690  0.6021  0.1356
S  0.0327  0.6422  0.4284
S  0.0480  0.6645  0.8468
S  0.3355  0.9520  0.1532
S  0.3578  0.9673  0.5716
S  0.5895  0.1592  0.0493
S  0.6868  0.2990  0.6961
S  0.7010  0.3132  0.3039
S  0.8408  0.4105  0.9507

Top 12 peaks for 5° ≤ 2θ ≤ 70°, most intense first:
2θ 25.27, I 100; 2θ 31.23, I 46; 2θ 44.55, I 28; 2θ 29.88, I 28; 2θ 24.01, I 27; 2θ 42.34, I 25; 2θ 38.72, I 22; 2θ 18.62, I 19; 2θ 26.76, I 19; 2θ 46.66, I 16; 2θ 45.03, I 10; 2θ 51.94, I 10

(5)
Theoretical X-ray powder pattern of Cu3BiS3 for Cu Kα X-rays, from a DFT-relaxed cell (PBE, the Materials Project).
Intensities are scaled so that the largest is 100.

Structural model:
Unit cell a=6.7656 b=7.7440 c=10.4405 alpha=90.00 beta=90.00 gamma=90.00
Sites, in units of the cell vectors:
Cu  0.0263  0.0584  0.4642
Cu  0.0761  0.6881  0.3966
Cu  0.1399  0.8513  0.0976
Cu  0.3601  0.1487  0.5976
Cu  0.4239  0.3119  0.8966
Cu  0.4737  0.9416  0.9642
Cu  0.5263  0.4416  0.5358
Cu  0.5761  0.8119  0.6034
Cu  0.6399  0.6487  0.9024
Cu  0.8601  0.3513  0.4024
Cu  0.9239  0.1881  0.1034
Cu  0.9737  0.5584  0.0358
Bi  0.1298  0.6945  0.7440
Bi  0.3702  0.3055  0.2440
Bi  0.6298  0.8055  0.2560
Bi  0.8702  0.1945  0.7560
S  0.0859  0.3195  0.5691
S  0.0946  0.3215  0.9379
S  0.1080  0.0537  0.2523
S  0.3920  0.9463  0.7523
S  0.4054  0.6785  0.4379
S  0.4141  0.6805  0.0691
S  0.5859  0.1805  0.4309
S  0.5946  0.1785  0.0621
S  0.6080  0.4463  0.7477
S  0.8920  0.5537  0.2477
S  0.9054  0.8215  0.5621
S  0.9141  0.8195  0.9309

Top 12 peaks for 5° ≤ 2θ ≤ 70°, most intense first:
2θ 31.12, I 100; 2θ 28.78, I 63; 2θ 33.62, I 48; 2θ 19.39, I 42; 2θ 27.89, I 41; 2θ 28.85, I 38; 2θ 49.59, I 33; 2θ 22.97, I 30; 2θ 51.56, I 28; 2θ 30.07, I 27; 2θ 37.24, I 26; 2θ 45.02, I 22

(6)
Theoretical X-ray powder pattern of CuBiSe2 for Cu Kα X-rays, from a DFT-relaxed cell (PBE, the Materials Project).
Intensities are scaled so that the largest is 100.

Structural model:
Unit cell a=4.0620 b=4.0620 c=19.1350 alpha=90.00 beta=90.00 gamma=120.00
Sites, in units of the cell vectors:
Cu  0.0000  0.0000  0.0000
Cu  0.3333  0.6667  0.6667
Cu  0.6667  0.3333  0.3333
Bi  0.0000  0.0000  0.5000
Bi  0.3333  0.6667  0.1667
Bi  0.6667  0.3333  0.8333
Se  0.0000  0.0000  0.2622
Se  0.0000  0.0000  0.7378
Se  0.3333  0.6667  0.4045
Se  0.3333  0.6667  0.9289
Se  0.6667  0.3333  0.0711
Se  0.6667  0.3333  0.5955

Top 12 peaks for 5° ≤ 2θ ≤ 70°, most intense first:
2θ 31.57, I 100; 2θ 44.62, I 40; 2θ 45.88, I 32; 2θ 55.68, I 20; 2θ 25.75, I 20; 2θ 34.64, I 17; 2θ 13.88, I 12; 2θ 27.01, I 11; 2θ 65.92, I 11; 2θ 63.33, I 9; 2θ 42.52, I 5; 2θ 53.49, I 5

(7)
Theoretical X-ray powder pattern of SrCuBi for Cu Kα X-rays, from a DFT-relaxed cell (PBE, the Materials Project).
Intensities are scaled so that the largest is 100.

Structural model:
Unit cell a=4.6820 b=4.6820 c=8.9253 alpha=90.00 beta=90.00 gamma=120.00
Sites, in units of the cell vectors:
Sr  0.0000  0.0000  0.0000
Sr  0.0000  0.0000  0.5000
Cu  0.3333  0.6667  0.2500
Cu  0.6667  0.3333  0.7500
Bi  0.3333  0.6667  0.7500
Bi  0.6667  0.3333  0.2500

Top 12 peaks for 5° ≤ 2θ ≤ 70°, most intense first:
2θ 29.77, I 100; 2θ 38.45, I 66; 2θ 24.11, I 45; 2θ 57.02, I 42; 2θ 19.90, I 30; 2θ 43.66, I 25; 2θ 49.37, I 25; 2θ 64.26, I 22; 2θ 40.42, I 19; 2θ 37.49, I 15; 2θ 69.55, I 11; 2θ 67.01, I 10

Question: Number 1 is which compound?
Answer: CuBi3PbS6